[1]
SmGa2ReO8: calculated X-ray diffraction stick pattern (λ = 1.5418 Å (Cu Kα)), based on a DFT-relaxed cell (PBE, Alexandria).
Kinematic intensities with the Lorentz-polarization factor, no thermal factor.

Structural model:
Cell lengths 7.168, 6.424, 6.671 Å; angles 90.00, 98.15, 90.00 degrees
Space group C2/m (No. 12)
One atom of each set of equivalent atoms:
Sm1 0.000 0.000 0.000 x2
Ga1 0.044 0.500 0.219 x4
Re1 0.000 0.000 0.500 x2
O1 0.004 0.205 0.293 x8
O2 0.177 0.500 0.988 x4
O3 0.237 0.500 0.452 x4

Peak list (10 most intense, 2θ from 10° to 80°, in order of rising 2θ)
2θ (°), I (rel.), (hkl)
18.6, 67, 1 1 0
25.1, 100, 2 0 0
27.8, 84, 0 2 0
31.5, 97, 1 1 -2
34.5, 71, 1 1 2
37.8, 38, 2 2 0
46.1, 26, 3 1 -2
51.5, 31, 1 3 -2
52.7, 30, 3 1 2
53.6, 26, 1 3 2

=====

[2]
GaRhO4: calculated X-ray diffraction stick pattern (λ = 1.5418 Å (Cu Kα)), based on a DFT-relaxed cell (PBE, Alexandria).
Kinematic intensities with the Lorentz-polarization factor, no thermal factor.

Structural model:
Cell lengths 5.545, 4.552, 5.487 Å; angles 90.00, 112.13, 90.00 degrees
Space group P2_1/c (No. 14)
One atom of each set of equivalent atoms:
Ga1 0.000 0.000 0.000 x2
Rh1 0.500 0.000 0.500 x2
O1 0.154 0.192 0.346 x4
O2 0.349 0.704 0.656 x4

Peak list (10 most intense, 2θ from 10° to 80°, in order of rising 2θ)
2θ (°), I (rel.), (hkl)
27.6, 100, 1 1 -1
34.9, 19, 2 0 0
35.2, 37, 1 1 1
35.3, 18, 0 0 2
39.4, 9, 2 0 -2
53.6, 17, 3 1 -1
53.8, 16, 2 2 0
54.1, 32, 0 2 2
57.1, 16, 2 2 -2
69.0, 15, 2 0 -4

=====

[3]
GaRhO3: calculated X-ray diffraction stick pattern (λ = 1.5418 Å (Cu Kα)), based on a DFT-relaxed cell (PBE, Alexandria).
Kinematic intensities with the Lorentz-polarization factor, no thermal factor.

Structural model:
Cell lengths 3.211, 14.527, 5.005 Å; angles 90.00, 90.00, 90.00 degrees
Space group Cmc2_1 (No. 36)
One atom of each set of equivalent atoms:
Ga1 0.000 0.098 0.000 x4
Rh1 0.000 0.326 0.948 x4
O1 0.000 0.112 0.637 x4
O2 0.000 0.216 0.210 x4
O3 0.000 0.433 0.668 x4

Peak list (10 most intense, 2θ from 10° to 80°, in order of rising 2θ)
2θ (°), I (rel.), (hkl)
12.2, 26, 0 2 0
24.5, 36, 0 4 0
30.4, 85, 0 4 1
33.7, 100, 1 1 1
35.9, 23, 0 0 2
41.9, 31, 1 5 0
49.9, 23, 1 3 2
56.4, 30, 1 5 2
63.1, 17, 1 1 3
66.3, 17, 2 4 1

=====

[4]
GaRh6O12: calculated X-ray diffraction stick pattern (λ = 1.5418 Å (Cu Kα)), based on a DFT-relaxed cell (PBE, Alexandria).
Kinematic intensities with the Lorentz-polarization factor, no thermal factor.

Structural model:
Cell lengths 9.0407, 9.0407, 8.6326 Å; angles 90.00, 90.00, 120.00 degrees
Space group R-3 (No. 148, hexagonal axes)
One atom of each set of equivalent atoms:
Ga1 0.0000 0.0000 0.0000 x3
Rh1 0.0458 0.2428 0.6655 x18
O1 0.0376 0.2236 0.4023 x18
O2 0.0476 0.2098 0.8902 x18

Peak list (10 most intense, 2θ from 10° to 80°, in order of rising 2θ)
2θ (°), I (rel.), (hkl)
31.1, 33, 0 0 3
32.0, 100, 2 1 1
36.8, 36, 3 -2 2
52.5, 34, 2 1 4
53.6, 32, 1 4 0
62.3, 15, 3 -2 5
63.3, 25, 5 -1 3
63.8, 13, 6 -4 1
66.8, 8, 4 2 2
78.4, 9, 6 -4 4

=====

[5]
Ga3S2O15: calculated X-ray diffraction stick pattern (λ = 1.5418 Å (Cu Kα)), based on a DFT-relaxed cell (PBE, Alexandria).
Kinematic intensities with the Lorentz-polarization factor, no thermal factor.

Structural model:
Cell lengths 7.2831, 7.2831, 16.3663 Å; angles 90.00, 90.00, 120.00 degrees
Space group R-3m (No. 166, hexagonal axes)
One atom of each set of equivalent atoms:
Ga1 0.0000 0.5000 0.0000 x9
S1 0.0000 0.0000 0.1843 x6
O1 0.0000 0.0000 0.0958 x6
O2 0.0000 0.0000 0.5000 x3
O3 0.1078 0.5539 0.2957 x18
O4 0.1103 0.5551 0.8830 x18

Peak list (10 most intense, 2θ from 10° to 80°, in order of rising 2θ)
2θ (°), I (rel.), (hkl)
15.1, 24, 1 0 1
16.2, 33, 0 0 3
17.8, 74, 0 1 2
28.8, 100, 0 2 1
29.5, 63, 1 1 3
30.4, 22, 2 0 2
36.0, 20, 0 2 4
41.2, 23, 1 0 7
46.3, 26, 0 3 3
50.1, 33, 2 2 0

=====

[6]
GaSO4: calculated X-ray diffraction stick pattern (λ = 1.5418 Å (Cu Kα)), based on a DFT-relaxed cell (PBE, Alexandria).
Kinematic intensities with the Lorentz-polarization factor, no thermal factor.

Structural model:
Cell lengths 5.237, 6.194, 6.404 Å; angles 90.00, 90.00, 90.00 degrees
Space group P222 (No. 16)
One atom of each set of equivalent atoms:
Ga1 0.000 0.000 0.000 x1
Ga2 0.000 0.500 0.500 x1
S1 0.000 0.000 0.500 x1
S2 0.500 0.500 0.500 x1
O1 0.150 0.146 0.642 x4
O2 0.314 0.393 0.350 x4

Peak list (10 most intense, 2θ from 10° to 80°, in order of rising 2θ)
2θ (°), I (rel.), (hkl)
13.8, 100, 0 0 1
16.9, 61, 1 0 0
19.9, 74, 0 1 1
22.2, 35, 1 1 0
27.9, 22, 0 0 2
28.8, 29, 0 2 0
39.9, 23, 2 1 1
40.5, 22, 0 2 2
44.2, 26, 1 2 2
44.7, 20, 2 0 2

=====

[7]
Tb3GaSO: calculated X-ray diffraction stick pattern (λ = 1.5418 Å (Cu Kα)), based on a DFT-relaxed cell (PBE, Alexandria).
Kinematic intensities with the Lorentz-polarization factor, no thermal factor.

Structural model:
Cell lengths 8.469, 3.892, 8.709 Å; angles 90.00, 102.17, 90.00 degrees
Space group P2_1/m (No. 11)
One atom of each set of equivalent atoms:
Tb1 0.083 0.250 0.329 x2
Tb2 0.328 0.250 0.989 x2
Tb3 0.391 0.750 0.641 x2
Ga1 0.326 0.750 0.284 x2
S1 0.151 0.250 0.659 x2
O1 0.406 0.750 0.903 x2

Peak list (10 most intense, 2θ from 10° to 80°, in order of rising 2θ)
2θ (°), I (rel.), (hkl)
25.8, 31, 2 0 1
26.7, 24, 2 0 -2
28.3, 21, 1 1 1
31.1, 32, 0 1 2
31.5, 100, 0 0 3
31.8, 91, 2 1 -1
40.7, 35, 2 1 2
46.7, 25, 0 2 0
49.7, 27, 2 1 -4
57.4, 23, 0 2 3

=====

[8]
GaSb2O6: calculated X-ray diffraction stick pattern (λ = 1.5418 Å (Cu Kα)), based on a DFT-relaxed cell (PBE, Alexandria).
Kinematic intensities with the Lorentz-polarization factor, no thermal factor.

Structural model:
Cell lengths 4.778, 4.778, 9.573 Å; angles 90.00, 90.00, 90.00 degrees
Space group P4_2/mnm (No. 136)
One atom of each set of equivalent atoms:
Ga1 0.000 0.000 0.000 x2
Sb1 0.000 0.000 0.333 x4
O1 0.192 0.192 0.164 x8
O2 0.196 0.196 0.500 x4

Peak list (10 most intense, 2θ from 10° to 80°, in order of rising 2θ)
2θ (°), I (rel.), (hkl)
26.4, 100, 1 1 0
33.8, 76, 1 0 3
37.6, 21, 2 0 0
51.5, 67, 2 1 3
54.3, 17, 2 2 0
57.8, 8, 0 0 6
61.4, 14, 3 1 0
64.6, 16, 1 1 6
65.5, 21, 3 0 3
78.1, 12, 3 2 3